Simulated powder diffraction line list of Sm2Ho4Mg for a wavelength of 1.5418 Å, from a GGA-PBE-relaxed structure.
Lines closer than 0.1° are merged.

Atomic structure:
Unit cell a=6.257 b=12.381 c=6.447 alpha=90.00 beta=116.61 gamma=90.00
Fractional coordinates of all 14 atoms:
Sm (0.201, 0.063, 0.420)
Sm (0.201, 0.437, 0.920)
Sm (0.799, 0.563, 0.080)
Sm (0.799, 0.937, 0.580)
Ho (0.073, 0.168, 0.858)
Ho (0.073, 0.332, 0.358)
Ho (0.416, 0.725, 0.176)
Ho (0.416, 0.775, 0.676)
Ho (0.584, 0.225, 0.324)
Ho (0.584, 0.275, 0.824)
Ho (0.927, 0.668, 0.642)
Ho (0.927, 0.832, 0.142)
Mg (0.500, 0.000, 0.000)
Mg (0.500, 0.500, 0.500)

Most intense lines, 10 to 90 degrees two-theta, low angle first:
2θ 14.31, intensity 37.6; 2θ 26.85, intensity 49.9; 2θ 30.43, intensity 22.1; 2θ 31.36, intensity 23.4; 2θ 31.88, intensity 77.3; 2θ 32.83, intensity 65.5; 2θ 33.14, intensity 92.6; 2θ 33.36, intensity 100.0; 2θ 34.57, intensity 42.8; 2θ 35.21, intensity 23.8